Sm2Ga5Ru3: computed XRD peak list (Cu Kα (weighted mean of Kα1 and Kα2)), based on a structure optimized by DFT (GGA-PBE).
Lines closer than 0.1° are merged.

Principal peaks in the range 2θ from 10° to 80°, low angle first:
- 2θ 33.0, 2.712 Å, rel. 70.9
- 2θ 34.3, 2.614 Å, rel. 100.0
- 2θ 36.1, 2.490 Å, rel. 81.7
- 2θ 36.5, 2.463 Å, rel. 26.8
- 2θ 38.6, 2.334 Å, rel. 34.4
- 2θ 40.4, 2.232 Å, rel. 41.2
- 2θ 41.9, 2.158 Å, rel. 79.7
- 2θ 42.1, 2.145 Å, rel. 25.4

Structural model:
```
Sm2Ga5Ru3
1.0
-4.9260 6.5021 2.8854
4.9260 -6.5021 2.8854
4.9260 6.5021 -2.8854
Sm Ga Ru
4 10 6
direct
0.1434 0.2282 0.3716
0.3566 0.7282 0.0848
0.6434 0.2718 0.9152
0.8566 0.7718 0.6284
0.0494 0.7500 0.2994
0.0834 0.6847 0.7681
0.2500 0.2500 0.0000
0.4166 0.1847 0.6014
0.4506 0.7500 0.7006
0.5494 0.2500 0.2994
0.5834 0.8153 0.3986
0.7500 0.7500 0.0000
0.9166 0.3153 0.2319
0.9506 0.2500 0.7006
0.1518 0.9222 0.0740
0.2500 0.7500 0.5000
0.3482 0.4222 0.7704
0.6518 0.5778 0.2296
0.7500 0.2500 0.5000
0.8482 0.0778 0.9260
```


Pm4CuAgHg2: computed XRD peak list (Cu Kα (weighted mean of Kα1 and Kα2)), based on a structure optimized by DFT (GGA-PBE).
Lines closer than 0.1° are merged.

Principal peaks in the range 2θ from 10° to 80°, low angle first:
- 2θ 20.6, 4.320 Å, rel. 7.6
- 2θ 33.9, 2.645 Å, rel. 100.0
- 2θ 40.0, 2.256 Å, rel. 4.5
- 2θ 48.7, 1.871 Å, rel. 17.9
- 2θ 53.4, 1.717 Å, rel. 2.1
- 2θ 60.6, 1.527 Å, rel. 36.5
- 2θ 71.3, 1.323 Å, rel. 11.1
- 2θ 75.1, 1.265 Å, rel. 1.6

Structural model:
```
Pm4CuAgHg2
1.0
2.6457 1.5275 8.6380
-2.6457 1.5275 8.6380
0.0000 -3.0550 8.6380
Pm Cu Ag Hg
4 1 1 2
direct
0.1214 0.1214 0.1214
0.3716 0.3716 0.3716
0.6284 0.6284 0.6284
0.8786 0.8786 0.8786
0.0000 0.0000 0.0000
0.5000 0.5000 0.5000
0.2475 0.2475 0.2475
0.7525 0.7525 0.7525
```


Number 1 is which compound? Sm2Ga5Ru3